(1)
# Pr3SmSe6
Simulated powder X-ray diffraction pattern, a wavelength of 1.5418 Å. Input: the PBE geometry in Alexandria.
No peak broadening, texture or thermal motion is included.

Main lines, by angle (10 to 80 degrees two-theta):
- 18.04 deg, rel. 52, (0 0 3)
- 20.43 deg, rel. 42, (2 0 2)
- 22.67 deg, rel. 77, (2 1 1)
- 24.99 deg, rel. 40, (1 2 2)
- 32.35 deg, rel. 74, (3 1 2)
- 32.77 deg, rel. 100, (2 1 4)
- 38.32 deg, rel. 87, (1 4 0)
- 38.80 deg, rel. 20, (1 3 4)
- 39.41 deg, rel. 39, (2 -1 6)
- 42.66 deg, rel. 21, (5 -1 3)
- 47.13 deg, rel. 21, (4 -2 6)
- 51.29 deg, rel. 21, (6 -4 4)

Structural model:
```
data_Pr3SmSe6
_chemical_formula_sum 'Pr18 Sm6 Se36'
_space_group_name_H-M_alt 'R -3'
_space_group_IT_number 148
_space_group_name_Hall '-R 3'
_cell_length_a 12.4299
_cell_length_b 12.4299
_cell_length_c 14.7546
_cell_angle_alpha 90.00
_cell_angle_beta 90.00
_cell_angle_gamma 120.00
loop_
_atom_site_label
_atom_site_fract_x
_atom_site_fract_y
_atom_site_fract_z
_atom_site_occupancy
Pr1 0.0508 0.2709 0.2022 1
Sm1 0.0000 0.0000 0.0000 1
Sm2 0.0000 0.0000 0.5000 1
Se1 0.0207 0.2116 0.3985 1
Se2 0.0324 0.1935 0.8765 1
```

---

(2)
# CePrSm14
Simulated powder X-ray diffraction pattern, a wavelength of 1.5418 Å. Input: the PBE geometry in Alexandria.
No peak broadening, texture or thermal motion is included.

Main lines, by angle (10 to 80 degrees two-theta):
- 30.14 deg, rel. 100, (2 0 2)
- 34.95 deg, rel. 51, (2 2 0)
- 50.26 deg, rel. 36, (4 0 0)
- 59.73 deg, rel. 43, (4 2 2)
- 62.67 deg, rel. 12, (4 0 4)
- 73.78 deg, rel. 4, (4 4 0)
- 73.89 deg, rel. 2, (0 0 8)

Structural model:
```
data_CePrSm14
_chemical_formula_sum 'Ce1 Pr1 Sm14'
_space_group_name_H-M_alt 'P 4/m m m'
_space_group_IT_number 123
_space_group_name_Hall '-P 4 2'
_cell_length_a 7.2649
_cell_length_b 7.2649
_cell_length_c 10.2615
_cell_angle_alpha 90.00
_cell_angle_beta 90.00
_cell_angle_gamma 90.00
loop_
_atom_site_label
_atom_site_fract_x
_atom_site_fract_y
_atom_site_fract_z
_atom_site_occupancy
Ce1 0.0000 0.0000 0.0000 1
Pr1 0.5000 0.5000 0.0000 1
Sm1 0.0000 0.0000 0.5000 1
Sm2 0.0000 0.5000 0.0000 1
Sm3 0.0000 0.5000 0.5000 1
Sm4 0.2479 0.2479 0.2496 1
Sm5 0.5000 0.5000 0.5000 1
```

---

(3)
# CaCe2Ir2
Simulated powder X-ray diffraction pattern, a wavelength of 1.5418 Å. Input: the PBE geometry in Alexandria.
No peak broadening, texture or thermal motion is included.

Main lines, by angle (10 to 80 degrees two-theta):
- 20.02 deg, rel. 67, (1 0 0)
- 32.63 deg, rel. 14, (0 0 2)
- 35.05 deg, rel. 100, (1 1 0)
- 38.58 deg, rel. 74, (1 0 2)
- 40.69 deg, rel. 11, (2 0 0)
- 48.64 deg, rel. 28, (1 1 2)
- 53.10 deg, rel. 30, (0 2 2)
- 54.77 deg, rel. 10, (2 1 0)
- 62.87 deg, rel. 18, (3 0 0)
- 65.22 deg, rel. 32, (2 1 2)
- 72.05 deg, rel. 15, (0 1 4)
- 74.05 deg, rel. 11, (2 2 0)

Structural model:
```
data_CaCe2Ir2
_chemical_formula_sum 'Ca1 Ce2 Ir2'
_space_group_name_H-M_alt 'P -3 m 1'
_space_group_IT_number 164
_space_group_name_Hall '-P 3 2"'
_cell_length_a 5.1207
_cell_length_b 5.1207
_cell_length_c 5.4880
_cell_angle_alpha 90.00
_cell_angle_beta 90.00
_cell_angle_gamma 120.00
loop_
_atom_site_label
_atom_site_fract_x
_atom_site_fract_y
_atom_site_fract_z
_atom_site_occupancy
Ca1 0.0000 0.0000 0.0000 1
Ce1 0.3333 0.6667 0.3269 1
Ir1 0.3333 0.6667 0.8045 1
```

---

(4)
# BeHCl
Simulated powder X-ray diffraction pattern, a wavelength of 1.5418 Å. Input: the PBE geometry in Alexandria.
No peak broadening, texture or thermal motion is included.

Main lines, by angle (10 to 80 degrees two-theta):
- 21.32 deg, rel. 100, (1 1 0)
- 23.32 deg, rel. 32, (1 1 -1)
- 29.54 deg, rel. 36, (1 1 1)
- 30.43 deg, rel. 27, (2 0 0)
- 31.75 deg, rel. 15, (0 0 2)
- 33.88 deg, rel. 17, (1 1 -2)
- 34.24 deg, rel. 40, (0 2 1)
- 35.99 deg, rel. 18, (2 0 -2)
- 42.51 deg, rel. 14, (2 2 -1)
- 42.80 deg, rel. 9, (1 1 2)
- 50.16 deg, rel. 14, (2 2 1)
- 57.70 deg, rel. 9, (2 2 -3)

Structural model:
```
data_BeHCl
_chemical_formula_sum 'Be4 H4 Cl4'
_space_group_name_H-M_alt 'P 1 21/c 1'
_space_group_IT_number 14
_space_group_name_Hall '-P 2ybc'
_cell_length_a 6.2381
_cell_length_b 5.9146
_cell_length_c 5.9843
_cell_angle_alpha 90.00
_cell_angle_beta 109.63
_cell_angle_gamma 90.00
loop_
_atom_site_label
_atom_site_fract_x
_atom_site_fract_y
_atom_site_fract_z
_atom_site_occupancy
Be1 0.1104 0.1207 0.4945 1
H1 0.1395 0.6100 0.0938 1
Cl1 0.2482 0.1354 0.2350 1
```

---

(5)
# Th2InSi3Ir4
Simulated powder X-ray diffraction pattern, a wavelength of 1.5418 Å. Input: the PBE geometry in Alexandria.
No peak broadening, texture or thermal motion is included.

Main lines, by angle (10 to 80 degrees two-theta):
- 24.82 deg, rel. 13, (0 0 3)
- 27.14 deg, rel. 15, (1 0 2)
- 31.60 deg, rel. 14, (1 1 1)
- 33.01 deg, rel. 26, (1 0 3)
- 33.31 deg, rel. 10, (0 0 4)
- 34.82 deg, rel. 100, (1 1 2)
- 43.62 deg, rel. 42, (2 0 0)
- 47.60 deg, rel. 23, (1 0 5)
- 55.77 deg, rel. 12, (2 1 3)
- 63.39 deg, rel. 14, (2 2 0)
- 66.53 deg, rel. 17, (2 1 5)
- 74.40 deg, rel. 23, (3 1 2)

Structural model:
```
data_Th2InSi3Ir4
_chemical_formula_sum 'Th2 In1 Si3 Ir4'
_space_group_name_H-M_alt 'P -4 m 2'
_space_group_IT_number 115
_space_group_name_Hall 'P -4 -2'
_cell_length_a 4.1502
_cell_length_b 4.1502
_cell_length_c 10.7607
_cell_angle_alpha 90.00
_cell_angle_beta 90.00
_cell_angle_gamma 90.00
loop_
_atom_site_label
_atom_site_fract_x
_atom_site_fract_y
_atom_site_fract_z
_atom_site_occupancy
Th1 0.0000 0.5000 0.2452 1
In1 0.0000 0.0000 0.5000 1
Si1 0.0000 0.5000 0.8795 1
Si2 0.5000 0.5000 0.5000 1
Ir1 0.0000 0.0000 0.0000 1
Ir2 0.0000 0.5000 0.6607 1
Ir3 0.5000 0.5000 0.0000 1
```

---

(6)
# CeMn10Cr2
Simulated powder X-ray diffraction pattern, a wavelength of 1.5418 Å. Input: the PBE geometry in Alexandria.
No peak broadening, texture or thermal motion is included.

Main lines, by angle (10 to 80 degrees two-theta):
- 30.41 deg, rel. 22, (2 2 1)
- 38.69 deg, rel. 32, (0 2 3)
- 40.30 deg, rel. 36, (3 1 2)
- 42.86 deg, rel. 49, (4 0 0)
- 43.61 deg, rel. 27, (2 4 0)
- 44.24 deg, rel. 51, (0 4 2)
- 44.45 deg, rel. 100, (2 2 3)
- 45.34 deg, rel. 20, (0 0 4)
- 49.47 deg, rel. 21, (2 4 2)
- 50.49 deg, rel. 14, (2 0 4)
- 63.31 deg, rel. 20, (4 4 2)
- 79.57 deg, rel. 21, (6 2 3)

Structural model:
```
data_CeMn10Cr2
_chemical_formula_sum 'Ce4 Mn40 Cr8'
_space_group_name_H-M_alt 'C m c m'
_space_group_IT_number 63
_space_group_name_Hall '-C 2c 2'
_cell_length_a 8.4442
_cell_length_b 9.5317
_cell_length_c 8.0015
_cell_angle_alpha 90.00
_cell_angle_beta 90.00
_cell_angle_gamma 90.00
loop_
_atom_site_label
_atom_site_fract_x
_atom_site_fract_y
_atom_site_fract_z
_atom_site_occupancy
Ce1 0.0000 0.1145 0.2500 1
Mn1 0.0000 0.1764 0.6056 1
Mn2 0.0000 0.3981 0.0724 1
Mn3 0.1322 0.3932 0.7500 1
Mn4 0.2310 0.0000 0.0000 1
Mn5 0.2488 0.3706 0.2500 1
Cr1 0.2500 0.2500 0.0000 1
```

---

(7)
# RbNdCu2O4
Simulated powder X-ray diffraction pattern, a wavelength of 1.5418 Å. Input: the PBE geometry in Alexandria.
No peak broadening, texture or thermal motion is included.

Main lines, by angle (10 to 80 degrees two-theta):
- 11.59 deg, rel. 29, (0 0 1)
- 22.58 deg, rel. 9, (1 0 0)
- 32.15 deg, rel. 37, (1 1 0)
- 32.67 deg, rel. 100, (1 0 2)
- 40.08 deg, rel. 11, (1 1 2)
- 42.28 deg, rel. 8, (1 0 3)
- 46.11 deg, rel. 28, (2 0 0)
- 47.66 deg, rel. 11, (0 0 4)
- 57.65 deg, rel. 38, (2 1 2)
- 58.64 deg, rel. 13, (1 1 4)
- 67.25 deg, rel. 8, (2 2 0)
- 68.47 deg, rel. 11, (2 0 4)

Structural model:
```
data_RbNdCu2O4
_chemical_formula_sum 'Rb1 Nd1 Cu2 O4'
_space_group_name_H-M_alt 'P 4/m m m'
_space_group_IT_number 123
_space_group_name_Hall '-P 4 2'
_cell_length_a 3.9374
_cell_length_b 3.9374
_cell_length_c 7.6355
_cell_angle_alpha 90.00
_cell_angle_beta 90.00
_cell_angle_gamma 90.00
loop_
_atom_site_label
_atom_site_fract_x
_atom_site_fract_y
_atom_site_fract_z
_atom_site_occupancy
Rb1 0.0000 0.0000 0.0000 1
Nd1 0.0000 0.0000 0.5000 1
Cu1 0.5000 0.5000 0.2861 1
O1 0.0000 0.5000 0.3015 1
```

---

(8)
# Sr2Ga2N3
Simulated powder X-ray diffraction pattern, a wavelength of 1.5418 Å. Input: the PBE geometry in Alexandria.
No peak broadening, texture or thermal motion is included.

Main lines, by angle (10 to 80 degrees two-theta):
- 29.55 deg, rel. 17, (0 0 2)
- 31.29 deg, rel. 29, (1 1 1)
- 32.57 deg, rel. 58, (2 0 -2)
- 33.00 deg, rel. 57, (0 1 2)
- 33.30 deg, rel. 100, (1 2 -1)
- 34.61 deg, rel. 13, (2 0 0)
- 37.65 deg, rel. 43, (2 1 0)
- 40.46 deg, rel. 21, (1 2 1)
- 41.90 deg, rel. 27, (1 1 -3)
- 49.42 deg, rel. 17, (3 1 -1)
- 52.79 deg, rel. 20, (1 3 1)
- 58.58 deg, rel. 22, (3 2 -3)

Structural model:
```
data_Sr2Ga2N3
_chemical_formula_sum 'Sr4 Ga4 N6'
_space_group_name_H-M_alt 'P 1 21/c 1'
_space_group_IT_number 14
_space_group_name_Hall '-P 2ybc'
_cell_length_a 5.9603
_cell_length_b 6.1702
_cell_length_c 6.9525
_cell_angle_alpha 90.00
_cell_angle_beta 119.59
_cell_angle_gamma 90.00
loop_
_atom_site_label
_atom_site_fract_x
_atom_site_fract_y
_atom_site_fract_z
_atom_site_occupancy
Sr1 0.1749 0.1556 0.4066 1
Ga1 0.3346 0.6298 0.5772 1
N1 0.0000 0.0000 0.0000 1
N2 0.3789 0.5991 0.2733 1
```